(1)
# PbN
Theoretical PXRD pattern, Cu Ka. Input: a GGA-PBE-relaxed structure.
Kinematic intensities with the Lorentz-polarization factor, no thermal factor.

Top 8 peaks for 2θ from 5° to 70°, by angle:
d_spacing	I/Imax
3.279	59.9
2.933	100.0
2.319	19.2
1.893	23.9
1.819	31.0
1.639	34.8
1.590	17.3
1.466	9.0

Crystal structure
Cell lengths 3.7858, 3.7858, 6.5590 Å; angles 90.00, 90.00, 120.00 degrees
Fractional positions:
Pb  0.3333  0.6667  0.0000
Pb  0.6667  0.3333  0.5000
N  0.3333  0.6667  0.6343
N  0.6667  0.3333  0.1343

(2)
# RuPb4N4
Theoretical PXRD pattern, Cu Ka. Input: a GGA-PBE-relaxed structure.
Kinematic intensities with the Lorentz-polarization factor, no thermal factor.

Top 12 peaks for 2θ from 5° to 70°, by angle:
d_spacing	I/Imax
3.342	100.0
3.024	69.7
2.964	67.2
2.923	69.9
2.692	48.9
2.666	45.3
2.574	44.6
1.978	22.7
1.973	23.9
1.906	23.0
1.765	15.8
1.688	15.2

Crystal structure
Cell lengths 6.3628, 6.4806, 10.0904 Å; angles 77.86, 86.26, 66.79 degrees
Fractional positions:
Ru  0.2130  0.1320  0.1778
Ru  0.7870  0.8680  0.8222
Pb  0.2423  0.5568  0.3999
Pb  0.2436  0.3319  0.7740
Pb  0.2529  0.7486  0.9979
Pb  0.2909  0.9034  0.6090
Pb  0.7091  0.0966  0.3910
Pb  0.7471  0.2514  0.0021
Pb  0.7564  0.6681  0.2260
Pb  0.7577  0.4432  0.6001
N  0.0976  0.7347  0.7750
N  0.1598  0.1533  0.9889
N  0.3431  0.8141  0.2312
N  0.3860  0.2718  0.2233
N  0.6140  0.7282  0.7767
N  0.6569  0.1859  0.7688
N  0.8402  0.8467  0.0111
N  0.9024  0.2653  0.2250

(3)
# Ru2Pb3N4
Theoretical PXRD pattern, Cu Ka. Input: a GGA-PBE-relaxed structure.
Kinematic intensities with the Lorentz-polarization factor, no thermal factor.

Top 12 peaks for 2θ from 5° to 70°, by angle:
d_spacing	I/Imax
3.313	61.1
3.235	58.6
3.164	14.3
3.152	19.8
3.009	100.0
2.603	80.1
2.314	32.3
1.883	15.6
1.819	13.0
1.742	26.9
1.542	13.4
1.485	18.2

Crystal structure
Cell lengths 6.6257, 10.2403, 10.1342 Å; angles 90.00, 90.00, 90.00 degrees
Fractional positions:
Ru  0.2003  0.2500  0.2500
Ru  0.2500  0.0000  0.2356
Ru  0.2500  0.5000  0.2644
Ru  0.2997  0.7500  0.2500
Ru  0.7003  0.2500  0.7500
Ru  0.7500  0.0000  0.7644
Ru  0.7500  0.5000  0.7356
Ru  0.7997  0.7500  0.7500
Pb  0.1883  0.1564  0.8881
Pb  0.1883  0.3436  0.6119
Pb  0.2500  0.0000  0.5791
Pb  0.2500  0.5000  0.9209
Pb  0.3117  0.6564  0.6119
Pb  0.3117  0.8436  0.8881
Pb  0.6883  0.1564  0.1119
Pb  0.6883  0.3436  0.3881
Pb  0.7500  0.0000  0.4209
Pb  0.7500  0.5000  0.0791
Pb  0.8117  0.6564  0.3881
Pb  0.8117  0.8436  0.1119
N  0.0829  0.1020  0.3464
N  0.0829  0.3980  0.1536
N  0.1736  0.6454  0.3909
N  0.1736  0.8546  0.1091
N  0.3264  0.1454  0.1091
N  0.3264  0.3546  0.3909
N  0.4171  0.6020  0.1536
N  0.4171  0.8980  0.3464
N  0.5829  0.1020  0.6536
N  0.5829  0.3980  0.8464
N  0.6736  0.6454  0.6091
N  0.6736  0.8546  0.8909
N  0.8264  0.1454  0.8909
N  0.8264  0.3546  0.6091
N  0.9171  0.6020  0.8464
N  0.9171  0.8980  0.6536

(4)
# SbPb3N
Theoretical PXRD pattern, Cu Ka. Input: a GGA-PBE-relaxed structure.
Kinematic intensities with the Lorentz-polarization factor, no thermal factor.

Top 12 peaks for 2θ from 5° to 70°, by angle:
d_spacing	I/Imax
3.117	18.0
3.029	31.6
3.006	85.3
2.937	100.0
2.624	75.7
2.480	22.4
1.823	15.9
1.802	30.6
1.756	23.4
1.698	20.6
1.589	14.4
1.559	37.4

Crystal structure
Cell lengths 7.2232, 7.2232, 7.2232 Å; angles 119.38, 93.27, 116.90 degrees
Fractional positions:
Sb  0.2528  0.0028  0.2500
Sb  0.7472  0.9972  0.7500
Pb  0.2106  0.0000  0.7106
Pb  0.2106  0.5000  0.2106
Pb  0.3177  0.5677  0.7500
Pb  0.6823  0.4323  0.2500
Pb  0.7894  0.0000  0.2894
Pb  0.7894  0.5000  0.7894
N  0.0000  0.5000  0.5000
N  0.5000  0.5000  0.0000

(5)
# Si7PbN10
Theoretical PXRD pattern, Cu Ka. Input: a GGA-PBE-relaxed structure.
Kinematic intensities with the Lorentz-polarization factor, no thermal factor.

Top 12 peaks for 2θ from 5° to 70°, by angle:
d_spacing	I/Imax
6.775	39.6
4.749	44.2
4.682	44.4
4.441	38.8
3.852	50.9
3.714	54.3
3.417	35.4
3.388	38.7
3.051	45.9
2.985	100.0
2.855	48.2
2.422	38.3

Crystal structure
Cell lengths 6.9193, 6.7751, 9.7315 Å; angles 90.00, 105.80, 90.00 degrees
Fractional positions:
Si  0.0000  0.0249  0.0000
Si  0.0000  0.9751  0.5000
Si  0.1264  0.3708  0.6652
Si  0.1264  0.6292  0.1652
Si  0.3122  0.3746  0.9816
Si  0.3122  0.6254  0.4816
Si  0.5708  0.3980  0.7495
Si  0.5708  0.6020  0.2495
Si  0.7585  0.3811  0.0579
Si  0.7585  0.6189  0.5579
Si  0.8204  0.0254  0.6903
Si  0.8204  0.9746  0.1903
Si  0.9461  0.3710  0.3620
Si  0.9461  0.6290  0.8620
Pb  0.3937  0.0571  0.2702
Pb  0.3937  0.9429  0.7702
N  0.0305  0.1352  0.6483
N  0.0305  0.8648  0.1483
N  0.1618  0.4229  0.4979
N  0.1618  0.5771  0.9979
N  0.2135  0.1551  0.0149
N  0.2135  0.8449  0.5149
N  0.3467  0.3818  0.8048
N  0.3467  0.6182  0.3048
N  0.5398  0.4215  0.1117
N  0.5398  0.5785  0.6117
N  0.6232  0.1662  0.7003
N  0.6232  0.8338  0.2003
N  0.7478  0.4989  0.8986
N  0.7478  0.5011  0.3986
N  0.7891  0.1318  0.0423
N  0.7891  0.8682  0.5423
N  0.9122  0.1166  0.3455
N  0.9122  0.8834  0.8455
N  0.9554  0.4654  0.1986
N  0.9554  0.5346  0.6986

(6)
# Si2Pb5N6
Theoretical PXRD pattern, Cu Ka. Input: a GGA-PBE-relaxed structure.
Kinematic intensities with the Lorentz-polarization factor, no thermal factor.

Top 12 peaks for 2θ from 5° to 70°, by angle:
d_spacing	I/Imax
3.586	87.0
3.411	47.2
3.205	35.9
3.143	39.6
3.066	70.3
3.031	32.0
2.970	77.3
2.832	80.2
2.796	100.0
2.773	32.7
2.156	26.0
1.759	34.1

Crystal structure
Cell lengths 6.4069, 6.4069, 12.9426 Å; angles 103.85, 103.85, 71.59 degrees
Fractional positions:
Si  0.0194  0.3348  0.4253
Si  0.3348  0.0194  0.9253
Si  0.6652  0.9806  0.0747
Si  0.9806  0.6652  0.5747
Pb  0.0173  0.2048  0.6831
Pb  0.2048  0.0173  0.1831
Pb  0.2238  0.5445  0.9808
Pb  0.4152  0.5848  0.7500
Pb  0.4555  0.7762  0.5192
Pb  0.5445  0.2238  0.4808
Pb  0.5848  0.4152  0.2500
Pb  0.7762  0.4555  0.0192
Pb  0.7952  0.9827  0.8169
Pb  0.9827  0.7952  0.3169
N  0.1255  0.3733  0.5682
N  0.1828  0.8155  0.6236
N  0.1845  0.8172  0.8764
N  0.2365  0.2530  0.3509
N  0.2530  0.2365  0.8509
N  0.3733  0.1255  0.0682
N  0.6267  0.8745  0.9318
N  0.7470  0.7635  0.1491
N  0.7635  0.7470  0.6491
N  0.8155  0.1828  0.1236
N  0.8172  0.1845  0.3764
N  0.8745  0.6267  0.4318

Number 6 is which compound? Si2Pb5N6